Np4MoO10: theoretical XRD peak list (CuKα), based on DFT lattice parameters and positions (GGA+U).
Intensities are scaled so that the largest is 100.

Cell lengths 6.528, 6.528, 6.528 Å; angles 99.59, 99.59, 131.83 degrees
Sites, in units of the cell vectors:
1 Np 0.100 0.298 0.398
2 Np 0.298 0.900 0.198
3 Np 0.702 0.100 0.802
4 Np 0.900 0.702 0.602
5 Mo 0.500 0.500 0.000
6 O 0.065 0.160 0.708
7 O 0.160 0.451 0.095
8 O 0.250 0.750 0.500
9 O 0.357 0.065 0.905
10 O 0.451 0.357 0.292
11 O 0.549 0.643 0.708
12 O 0.643 0.935 0.095
13 O 0.750 0.250 0.500
14 O 0.840 0.549 0.905
15 O 0.935 0.840 0.292

Main lines, in order of falling intensity (10° ≤ 2θ ≤ 90°):
2θ/deg  Rel. int.
29.02  100
48.30  49
57.34  46
33.63  36
78.18  19
80.62  14
60.14  10
70.70  8
19.71  4
14.86  3
21.08  2
42.22  1